Diffraction record for Pr2Sn2Ru2N. The powder diffractogram is calculated, not measured: it uses a crystal structure in Alexandria, relaxed with GGA-PBE and λ = 1.5418 Å (Cu Kα).
No peak broadening, texture or thermal motion is included.

Most intense lines, 5° ≤ 2θ ≤ 70°, by angle:
| d/Å | 2θ (°) | intensity | (hkl) |
| --- | --- | --- | --- |
| 2.944 | 30.36 | 34 | 1 1 1 |
| 2.864 | 31.23 | 65 | 4 0 -2 |
| 2.844 | 31.45 | 29 | 4 0 -1 |
| 2.722 | 32.90 | 100 | 1 1 -2 |
| 2.524 | 35.56 | 100 | 3 1 0 |
| 2.384 | 37.73 | 44 | 4 0 -3 |
| 2.116 | 42.72 | 46 | 0 2 0 |
| 1.553 | 59.52 | 31 | 7 1 -3 |

Structural model:
a = 11.7381 Å, b = 4.2327 Å, c = 7.5132 Å
α = 90.00°, β = 126.50°, γ = 90.00°
Space group C2/m (No. 12)
Inequivalent atoms, fractional coordinates:
Pr: 0.0485 0.0000 0.2715 (multiplicity 4)
Sn: 0.1627 0.5000 0.6920 (multiplicity 4)
Ru: 0.1826 0.5000 0.0684 (multiplicity 4)
N: 0.0000 0.5000 0.0000 (multiplicity 2)

=====

Diffraction record for PrY4Er8. The powder diffractogram is calculated, not measured: it uses a crystal structure in Alexandria, relaxed with GGA-PBE and λ = 1.5418 Å (Cu Kα).
No peak broadening, texture or thermal motion is included.

Most intense lines, 5° ≤ 2θ ≤ 70°, by angle:
| d/Å | 2θ (°) | intensity | (hkl) |
| --- | --- | --- | --- |
| 8.948 | 9.88 | 18 | 0 0 3 |
| 3.079 | 29.00 | 24 | 2 0 2 |
| 2.983 | 29.96 | 31 | 0 0 9 |
| 2.861 | 31.26 | 100 | 0 2 4 |
| 2.725 | 32.87 | 38 | 2 0 5 |
| 2.302 | 39.14 | 24 | 2 0 8 |
| 1.826 | 49.94 | 30 | 2 2 0 |
| 1.557 | 59.34 | 21 | 2 2 9 |

Structural model:
a = 7.3044 Å, b = 7.3044 Å, c = 26.8447 Å
α = 90.00°, β = 90.00°, γ = 120.00°
Space group R-3m (No. 166, hexagonal axes)
Inequivalent atoms, fractional coordinates:
Pr: 0.0000 0.0000 0.0000 (multiplicity 3)
Y: 0.0000 0.0000 0.5000 (multiplicity 3)
Y: 0.0000 0.5000 0.5000 (multiplicity 9)
Er: 0.0000 0.0000 0.2813 (multiplicity 6)
Er: 0.0399 0.5200 0.2693 (multiplicity 18)

=====

Diffraction record for Hf2MoH3. The powder diffractogram is calculated, not measured: it uses a crystal structure in Alexandria, relaxed with GGA-PBE and λ = 1.5418 Å (Cu Kα).
No peak broadening, texture or thermal motion is included.

Most intense lines, 5° ≤ 2θ ≤ 70°, by angle:
| d/Å | 2θ (°) | intensity | (hkl) |
| --- | --- | --- | --- |
| 2.584 | 34.72 | 100 | 1 1 -2 |
| 2.474 | 36.32 | 89 | 3 1 0 |
| 2.314 | 38.92 | 40 | 4 0 -2 |
| 2.142 | 42.18 | 30 | 2 0 2 |
| 2.123 | 42.58 | 29 | 0 2 0 |
| 1.565 | 59.04 | 22 | 4 2 -2 |
| 1.508 | 61.49 | 20 | 2 2 2 |
| 1.401 | 66.78 | 15 | 5 1 -4 |

Structural model:
a = 9.9576 Å, b = 4.2464 Å, c = 6.5307 Å
α = 90.00°, β = 113.52°, γ = 90.00°
Space group C2/c (No. 15)
Inequivalent atoms, fractional coordinates:
Hf: 0.1637 0.0000 0.0784 (multiplicity 8)
Mo: 0.0000 0.4999 0.2500 (multiplicity 4)
H: 0.0000 0.0012 0.2500 (multiplicity 4)
H: 0.1393 0.5000 0.0847 (multiplicity 8)

=====

Diffraction record for Ca2SmZn2. The powder diffractogram is calculated, not measured: it uses a crystal structure in Alexandria, relaxed with GGA-PBE and λ = 1.5418 Å (Cu Kα).
No peak broadening, texture or thermal motion is included.

Most intense lines, 5° ≤ 2θ ≤ 70°, by angle:
| d/Å | 2θ (°) | intensity | (hkl) |
| --- | --- | --- | --- |
| 10.659 | 8.30 | 100 | 0 2 0 |
| 2.989 | 29.89 | 13 | 0 4 1 |
| 2.792 | 32.05 | 33 | 1 5 0 |
| 2.564 | 35.00 | 49 | 1 1 1 |
| 2.532 | 35.45 | 34 | 0 6 1 |
| 2.350 | 38.30 | 18 | 1 7 0 |
| 1.550 | 59.65 | 11 | 1 11 1 |
| 1.493 | 62.19 | 12 | 2 6 1 |

Structural model:
a = 3.6953 Å, b = 21.3183 Å, c = 3.6100 Å
α = 90.00°, β = 90.00°, γ = 90.00°
Space group Cmmm (No. 65)
Inequivalent atoms, fractional coordinates:
Ca: 0.0000 0.1701 0.0000 (multiplicity 4)
Sm: 0.0000 0.0000 0.0000 (multiplicity 2)
Zn: 0.0000 0.4160 0.5000 (multiplicity 4)

=====

Diffraction record for Mg2InPt3. The powder diffractogram is calculated, not measured: it uses a crystal structure in Alexandria, relaxed with GGA-PBE and λ = 1.5418 Å (Cu Kα).
No peak broadening, texture or thermal motion is included.

Most intense lines, 5° ≤ 2θ ≤ 70°, by angle:
| d/Å | 2θ (°) | intensity | (hkl) |
| --- | --- | --- | --- |
| 3.730 | 23.86 | 25 | 0 0 1 |
| 2.982 | 29.96 | 29 | 1 3 0 |
| 2.329 | 38.66 | 100 | 1 3 1 |
| 2.109 | 42.89 | 37 | 2 0 0 |
| 1.865 | 48.84 | 13 | 0 0 2 |
| 1.836 | 49.67 | 15 | 2 0 1 |
| 1.491 | 62.26 | 12 | 2 6 0 |
| 1.397 | 66.99 | 20 | 2 0 2 |

Structural model:
a = 4.2133 Å, b = 12.6652 Å, c = 3.7295 Å
α = 90.00°, β = 90.00°, γ = 90.00°
Space group Cmmm (No. 65)
Inequivalent atoms, fractional coordinates:
Mg: 0.0000 0.1688 0.0000 (multiplicity 4)
In: 0.0000 0.5000 0.0000 (multiplicity 2)
Pt: 0.0000 0.0000 0.5000 (multiplicity 2)
Pt: 0.0000 0.3307 0.5000 (multiplicity 4)

=====

Which formula does entry 3 have?
Hf2MoH3

=====

Copy entry 1 word for word.
Diffraction record for Pr2Sn2Ru2N. The powder diffractogram is calculated, not measured: it uses a crystal structure in Alexandria, relaxed with GGA-PBE and λ = 1.5418 Å (Cu Kα).
No peak broadening, texture or thermal motion is included.

Most intense lines, 5° ≤ 2θ ≤ 70°, by angle:
| d/Å | 2θ (°) | intensity | (hkl) |
| --- | --- | --- | --- |
| 2.944 | 30.36 | 34 | 1 1 1 |
| 2.864 | 31.23 | 65 | 4 0 -2 |
| 2.844 | 31.45 | 29 | 4 0 -1 |
| 2.722 | 32.90 | 100 | 1 1 -2 |
| 2.524 | 35.56 | 100 | 3 1 0 |
| 2.384 | 37.73 | 44 | 4 0 -3 |
| 2.116 | 42.72 | 46 | 0 2 0 |
| 1.553 | 59.52 | 31 | 7 1 -3 |

Structural model:
a = 11.7381 Å, b = 4.2327 Å, c = 7.5132 Å
α = 90.00°, β = 126.50°, γ = 90.00°
Space group C2/m (No. 12)
Inequivalent atoms, fractional coordinates:
Pr: 0.0485 0.0000 0.2715 (multiplicity 4)
Sn: 0.1627 0.5000 0.6920 (multiplicity 4)
Ru: 0.1826 0.5000 0.0684 (multiplicity 4)
N: 0.0000 0.5000 0.0000 (multiplicity 2)